Starting from a cell relaxed with GGA-PBE, the PXRD pattern of NaMn2Ni was simulated for Cu Kα (weighted mean of Kα1 and Kα2).

Principal peaks in the range 2θ = 15–90°, in order of rising 2θ:
2theta	intensity
24.8	11
28.8	2
41.1	100
48.6	5
59.6	15
65.5	2
74.9	29
80.4	1
89.2	9

Crystal structure
Cell lengths 4.3899, 4.3899, 4.3899 Å; angles 60.00, 60.00, 60.00 degrees
Atoms (fractional coordinates):
Na1 0.0000 0.0000 0.0000
Mn1 0.2500 0.2500 0.2500
Mn2 0.7500 0.7500 0.7500
Ni1 0.5000 0.5000 0.5000